# Na3CaFe4Si8O24
Calculated X-ray diffraction stick pattern, Cu Ka. Input: a structure optimized by DFT (PBE+U).
Neutral-atom scattering factors, no anomalous dispersion.

Peak list (8 most intense, 15° ≤ 2θ ≤ 90°, in order of rising 2θ)
| 2θ/deg | intensity |
| --- | --- |
| 19.32 | 873 |
| 25.96 | 1000 |
| 26.14 | 695 |
| 34.76 | 630 |
| 38.74 | 443 |
| 39.30 | 585 |
| 39.90 | 319 |
| 40.21 | 679 |

Cell lengths 7.7326, 7.7326, 10.8916 Å; angles 116.67, 116.67, 72.89 degrees
Positions (direct):
1 Na 0.0000 0.0000 0.0000
2 Na 0.1839 0.3435 0.7556
3 Na 0.6565 0.8161 0.2444
4 Ca 0.4719 0.5281 0.5000
5 Fe 0.0489 0.4449 0.2427
6 Fe 0.0908 0.9092 0.5000
7 Fe 0.5551 0.9511 0.7573
8 Fe 0.6184 0.3816 0.0000
9 Si 0.1532 0.8160 0.2528
10 Si 0.1840 0.8468 0.7472
11 Si 0.4570 0.0023 0.5021
12 Si 0.4902 0.0361 0.9990
13 Si 0.6759 0.2931 0.7538
14 Si 0.7069 0.3241 0.2462
15 Si 0.9639 0.5098 0.0010
16 Si 0.9977 0.5430 0.4979
17 O 0.0439 0.0171 0.6851
18 O 0.0665 0.6525 0.6820
19 O 0.0785 0.7077 0.0690
20 O 0.1134 0.3429 0.0621
21 O 0.1765 0.4098 0.4415
22 O 0.2298 0.6609 0.3384
23 O 0.2923 0.9215 0.9310
24 O 0.2992 0.0814 0.5833
25 O 0.3391 0.7702 0.6616
26 O 0.3475 0.9335 0.3180
27 O 0.4271 0.1919 0.9164
28 O 0.5028 0.4325 0.8136
29 O 0.5675 0.4972 0.1864
30 O 0.5726 0.1443 0.1845
31 O 0.5902 0.8235 0.5585
32 O 0.5911 0.1860 0.5679
33 O 0.6571 0.8866 0.9379
34 O 0.7519 0.1394 0.8389
35 O 0.8081 0.5729 0.0836
36 O 0.8140 0.4089 0.4321
37 O 0.8557 0.4274 0.8155
38 O 0.8606 0.2481 0.1611
39 O 0.9186 0.7008 0.4167
40 O 0.9829 0.9561 0.3149

# Na3CaFe4Si8O24
Calculated X-ray diffraction stick pattern, Cu Ka. Input: a structure optimized by DFT (PBE+U).
Neutral-atom scattering factors, no anomalous dispersion.

Peak list (8 most intense, 15° ≤ 2θ ≤ 90°, in order of rising 2θ)
| 2θ/deg | intensity |
| --- | --- |
| 19.37 | 832 |
| 26.15 | 648 |
| 26.44 | 1000 |
| 36.09 | 849 |
| 37.43 | 432 |
| 38.47 | 561 |
| 42.13 | 399 |
| 44.59 | 356 |

Cell lengths 7.5020, 7.5105, 10.5292 Å; angles 104.28, 106.48, 104.75 degrees
Positions (direct):
1 Na 0.0000 0.0000 0.0000
2 Na 0.1743 0.4262 0.7548
3 Na 0.6729 0.4341 0.2473
4 Ca 0.4768 0.9933 0.4995
5 Fe 0.0608 0.8178 0.2426
6 Fe 0.1035 0.6123 0.4994
7 Fe 0.5507 0.8063 0.7571
8 Fe 0.6182 0.6217 0.0033
9 Si 0.1689 0.9158 0.7261
10 Si 0.1866 0.4552 0.2766
11 Si 0.4755 0.9742 0.9767
12 Si 0.4891 0.5144 0.5260
13 Si 0.6772 0.9210 0.2225
14 Si 0.6883 0.4572 0.7765
15 Si 0.9808 0.9688 0.4762
16 Si 0.9912 0.5075 0.0230
17 O 0.0094 0.3769 0.3328
18 O 0.0402 0.6824 0.6711
19 O 0.0447 0.0454 0.6526
20 O 0.1149 0.3787 0.1015
21 O 0.1280 0.7340 0.0693
22 O 0.1679 0.0528 0.4319
23 O 0.2571 0.6947 0.3548
24 O 0.2701 0.0214 0.9013
25 O 0.3222 0.5236 0.5991
26 O 0.3416 0.9092 0.6559
27 O 0.3910 0.4035 0.3512
28 O 0.4204 0.7345 0.9040
29 O 0.5085 0.3819 0.8299
30 O 0.5439 0.6883 0.1697
31 O 0.5461 0.0503 0.1524
32 O 0.6135 0.3807 0.5985
33 O 0.6187 0.7502 0.5818
34 O 0.6483 0.0518 0.9165
35 O 0.7508 0.6973 0.8442
36 O 0.7755 0.0214 0.4004
37 O 0.8176 0.5149 0.0893
38 O 0.8374 0.9144 0.1453
39 O 0.8870 0.3979 0.8454
40 O 0.9163 0.7299 0.4101

# NaCaFe2Si4O12
Calculated X-ray diffraction stick pattern, Cu Ka. Input: a structure optimized by DFT (PBE+U).
Neutral-atom scattering factors, no anomalous dispersion.

Peak list (8 most intense, 15° ≤ 2θ ≤ 90°, in order of rising 2θ)
| 2θ/deg | intensity |
| --- | --- |
| 29.38 | 1000 |
| 30.02 | 415 |
| 34.49 | 288 |
| 34.96 | 411 |
| 35.38 | 421 |
| 41.75 | 214 |
| 55.50 | 175 |
| 65.08 | 171 |

Cell lengths 6.6877, 6.6877, 5.3566 Å; angles 102.20, 102.20, 84.85 degrees
Positions (direct):
1 Na 0.0000 0.0000 0.0000
2 Ca 0.3994 0.6006 0.5000
3 Fe 0.6068 0.3932 0.0000
4 Fe 0.8019 0.1981 0.5000
5 Si 0.0773 0.4982 0.9806
6 Si 0.3188 0.1028 0.5121
7 Si 0.5018 0.9227 0.0194
8 Si 0.8972 0.6812 0.4879
9 O 0.0328 0.6592 0.2546
10 O 0.0683 0.6387 0.7529
11 O 0.0857 0.1918 0.4395
12 O 0.3090 0.4166 0.0702
13 O 0.3408 0.9672 0.7454
14 O 0.3613 0.9317 0.2471
15 O 0.4988 0.2675 0.5907
16 O 0.5834 0.6910 0.9298
17 O 0.6701 0.0997 0.1207
18 O 0.7325 0.5012 0.4093
19 O 0.8082 0.9143 0.5605
20 O 0.9003 0.3299 0.8793

# NaCaFe2Si4O12
Calculated X-ray diffraction stick pattern, Cu Ka. Input: a structure optimized by DFT (PBE+U).
Neutral-atom scattering factors, no anomalous dispersion.

Peak list (8 most intense, 15° ≤ 2θ ≤ 90°, in order of rising 2θ)
| 2θ/deg | intensity |
| --- | --- |
| 29.36 | 1000 |
| 30.01 | 417 |
| 34.43 | 287 |
| 34.98 | 414 |
| 35.34 | 419 |
| 41.71 | 214 |
| 55.52 | 175 |
| 65.02 | 170 |

Cell lengths 5.3523, 9.0471, 9.7955 Å; angles 90.00, 105.01, 90.00 degrees
Positions (direct):
1 Na 0.0000 0.0000 0.0000
2 Na 0.5000 0.4929 0.5000
3 Ca 0.0000 0.0902 0.5000
4 Ca 0.5000 0.5992 0.0000
5 Fe 0.0000 0.3859 0.0000
6 Fe 0.0000 0.6905 0.5000
7 Fe 0.5000 0.1905 0.0000
8 Fe 0.5000 0.8854 0.5000
9 Si 0.1912 0.6996 0.2108
10 Si 0.1952 0.3876 0.7096
11 Si 0.2996 0.8812 0.7875
12 Si 0.3024 0.2067 0.2882
13 Si 0.6976 0.2067 0.7118
14 Si 0.7004 0.8812 0.2125
15 Si 0.8048 0.3876 0.2904
16 Si 0.8088 0.6996 0.7892
17 O 0.0927 0.3074 0.3528
18 O 0.1027 0.7722 0.8537
19 O 0.2014 0.5470 0.6373
20 O 0.2023 0.5421 0.1327
21 O 0.2074 0.8709 0.6146
22 O 0.2135 0.2211 0.1166
23 O 0.2654 0.7037 0.3830
24 O 0.2701 0.3889 0.8831
25 O 0.2952 0.0485 0.3617
26 O 0.2960 0.0414 0.8538
27 O 0.4029 0.2815 0.6522
28 O 0.4103 0.7989 0.1544
29 O 0.5897 0.7989 0.8456
30 O 0.5971 0.2815 0.3478
31 O 0.7040 0.0414 0.1462
32 O 0.7048 0.0485 0.6383
33 O 0.7299 0.3889 0.1169
34 O 0.7346 0.7037 0.6170
35 O 0.7865 0.2211 0.8834
36 O 0.7926 0.8709 0.3854
37 O 0.7977 0.5421 0.8673
38 O 0.7986 0.5470 0.3627
39 O 0.8973 0.7722 0.1463
40 O 0.9073 0.3074 0.6472

# NaCaTbFeO6
Calculated X-ray diffraction stick pattern, Cu Ka. Input: a structure optimized by DFT (PBE+U).
Neutral-atom scattering factors, no anomalous dispersion.

Peak list (8 most intense, 15° ≤ 2θ ≤ 90°, in order of rising 2θ)
| 2θ/deg | intensity |
| --- | --- |
| 19.01 | 251 |
| 21.98 | 663 |
| 31.29 | 1000 |
| 36.86 | 218 |
| 44.83 | 395 |
| 50.47 | 258 |
| 55.68 | 376 |
| 65.27 | 223 |

Cell lengths 5.7183, 5.7183, 5.7183 Å; angles 60.00, 60.00, 60.00 degrees
Positions (direct):
1 Na 0.0000 0.0000 0.0000
2 Ca 0.5000 0.5000 0.5000
3 Tb 0.2500 0.2500 0.2500
4 Fe 0.7500 0.7500 0.7500
5 O 0.5209 0.5209 0.9791
6 O 0.5209 0.9791 0.5209
7 O 0.5209 0.9791 0.9791
8 O 0.9791 0.5209 0.5209
9 O 0.9791 0.5209 0.9791
10 O 0.9791 0.9791 0.5209

# NaCaTiFe3O8
Calculated X-ray diffraction stick pattern, Cu Ka. Input: a structure optimized by DFT (PBE+U).
Neutral-atom scattering factors, no anomalous dispersion.

Peak list (8 most intense, 15° ≤ 2θ ≤ 90°, in order of rising 2θ)
| 2θ/deg | intensity |
| --- | --- |
| 19.09 | 370 |
| 32.84 | 566 |
| 33.24 | 1000 |
| 35.39 | 783 |
| 35.51 | 386 |
| 40.07 | 303 |
| 49.14 | 463 |
| 49.53 | 298 |

Cell lengths 3.0117, 9.3000, 10.9083 Å; angles 90.00, 90.00, 90.00 degrees
Positions (direct):
1 Na 0.0000 0.0076 0.0000
2 Na 0.5000 0.9924 0.5000
3 Ca 0.0000 0.5082 0.8119
4 Ca 0.5000 0.4918 0.3119
5 Ti 0.0000 0.1615 0.2571
6 Ti 0.5000 0.8385 0.7571
7 Fe 0.0000 0.1837 0.7659
8 Fe 0.0000 0.6680 0.5478
9 Fe 0.0000 0.6901 0.0458
10 Fe 0.5000 0.3099 0.5458
11 Fe 0.5000 0.3320 0.0478
12 Fe 0.5000 0.8163 0.2659
13 O 0.0000 0.1729 0.5821
14 O 0.0000 0.2736 0.9395
15 O 0.0000 0.3641 0.1795
16 O 0.0000 0.4546 0.4893
17 O 0.0000 0.6650 0.2305
18 O 0.0000 0.7759 0.8647
19 O 0.0000 0.8663 0.6413
20 O 0.0000 0.9614 0.3040
21 O 0.5000 0.0386 0.8040
22 O 0.5000 0.1337 0.1413
23 O 0.5000 0.2241 0.3647
24 O 0.5000 0.3350 0.7305
25 O 0.5000 0.5454 0.9893
26 O 0.5000 0.6359 0.6795
27 O 0.5000 0.7264 0.4395
28 O 0.5000 0.8271 0.0821